Starting from the PBE geometry in Alexandria, the XRD peak list of Li2Zr2ScS6 was calculated for λ = 1.5418 Å (Cu Kα).

Largest 10 diffraction maxima, low angle first, 5 to 70 degrees two-theta:
2θ = 14.25°, 6.215 Å, I 81; 2θ = 28.57°, 3.124 Å, I 40; 2θ = 34.21°, 2.621 Å, I 100; 2θ = 37.23°, 2.415 Å, I 17; 2θ = 44.43°, 2.039 Å, I 14; 2θ = 48.48°, 1.878 Å, I 34; 2θ = 49.84°, 1.830 Å, I 32; 2θ = 52.11°, 1.755 Å, I 16; 2θ = 59.49°, 1.554 Å, I 6; 2θ = 61.84°, 1.500 Å, I 16

Structural model:
a = 6.3406 Å, b = 6.3406 Å, c = 6.5633 Å
α = 99.23°, β = 99.23°, γ = 120.07°
Fractional positions:
Li  0.1680  0.8320  0.0000
Li  0.8320  0.1680  0.0000
Zr  0.3345  0.6655  0.5000
Zr  0.6655  0.3345  0.5000
Sc  0.0000  0.0000  0.5000
S  0.0789  0.4144  0.7423
S  0.2497  0.2497  0.2573
S  0.4144  0.0789  0.7423
S  0.5856  0.9211  0.2577
S  0.7503  0.7503  0.7427
S  0.9211  0.5856  0.2577